(1)
Structure and simulated powder XRD pattern of Nd12Dy7Mg (the PBE geometry in Alexandria; Cu Ka).
Lines closer than 0.1° are merged.

Top 10 peaks for 2θ = 10–80°, by intensity:
2θ/deg, Rel. int.
31.3, 100
28.9, 62
33.5, 57
30.3, 53
28.7, 51
31.0, 43
32.5, 41
35.6, 30
52.1, 20
53.1, 19

Structure:
```
20
Lattice="7.561 4.365 3.382 -7.561 4.365 3.382 0.000 -8.730 3.382" Properties=species:S:1:pos:R:3 pbc="T T T"
Nd -5.483 1.395 3.931
Nd -0.611 -2.351 2.614
Nd -3.949 -4.051 6.216
Nd -1.731 1.705 2.614
Nd 1.534 -5.445 3.931
Nd 2.342 0.647 2.614
Nd -2.342 -0.647 7.533
Nd -1.534 5.445 6.216
Nd 1.731 -1.705 7.533
Nd 3.949 4.051 3.931
Nd 0.611 2.351 7.533
Nd 5.483 -1.395 6.216
Dy 0.000 0.000 0.000
Dy -3.354 -0.952 4.434
Dy -0.852 -3.381 5.714
Dy -2.501 2.428 5.714
Dy 2.501 -2.428 4.434
Dy 0.852 3.381 4.434
Dy 3.354 0.952 5.714
Mg 0.000 0.000 5.074
```

***

(2)
Structure and simulated powder XRD pattern of Ca2CuSn4Rh3 (the PBE geometry in Alexandria; Cu Ka).
Lines closer than 0.1° are merged.

Top 10 peaks for 2θ = 10–80°, by intensity:
2θ/deg, Rel. int.
39.3, 100
44.4, 98
32.5, 96
21.2, 62
32.1, 60
16.8, 47
74.8, 43
56.8, 34
51.7, 31
67.0, 23

Structure:
```
10
Lattice="4.581 0.000 0.000 0.000 4.581 0.000 0.000 0.000 10.525" Properties=species:S:1:pos:R:3 pbc="T T T"
Ca 0.000 2.291 2.541
Ca 2.291 0.000 7.984
Cu 2.291 2.291 0.000
Sn 0.000 0.000 5.263
Sn 0.000 2.291 9.225
Sn 2.291 0.000 1.300
Sn 2.291 2.291 5.263
Rh 0.000 0.000 0.000
Rh 0.000 2.291 6.627
Rh 2.291 0.000 3.898
```

***

Repeat the first record exactly.
Structure and simulated powder XRD pattern of Nd12Dy7Mg (the PBE geometry in Alexandria; Cu Ka).
Lines closer than 0.1° are merged.

Top 10 peaks for 2θ = 10–80°, by intensity:
2θ/deg, Rel. int.
31.3, 100
28.9, 62
33.5, 57
30.3, 53
28.7, 51
31.0, 43
32.5, 41
35.6, 30
52.1, 20
53.1, 19

Structure:
```
20
Lattice="7.561 4.365 3.382 -7.561 4.365 3.382 0.000 -8.730 3.382" Properties=species:S:1:pos:R:3 pbc="T T T"
Nd -5.483 1.395 3.931
Nd -0.611 -2.351 2.614
Nd -3.949 -4.051 6.216
Nd -1.731 1.705 2.614
Nd 1.534 -5.445 3.931
Nd 2.342 0.647 2.614
Nd -2.342 -0.647 7.533
Nd -1.534 5.445 6.216
Nd 1.731 -1.705 7.533
Nd 3.949 4.051 3.931
Nd 0.611 2.351 7.533
Nd 5.483 -1.395 6.216
Dy 0.000 0.000 0.000
Dy -3.354 -0.952 4.434
Dy -0.852 -3.381 5.714
Dy -2.501 2.428 5.714
Dy 2.501 -2.428 4.434
Dy 0.852 3.381 4.434
Dy 3.354 0.952 5.714
Mg 0.000 0.000 5.074
```

***

> What is the formula in the first record?

Nd12Dy7Mg